This entry pairs a crystal structure of Na2Mn2CrO6 with its simulated X-ray powder pattern. Radiation: copper Kα. Structure: a GGA+U-relaxed structure.

Structural model:
```
11
Lattice="2.565 -4.555 0.000 2.565 4.555 0.000 -1.661 0.000 5.505" Properties=species:S:1:pos:R:3 pbc="T T T"
Na 2.565 3.056 0.000
Na 2.565 -3.056 0.000
Mn 1.734 1.501 2.752
Mn 1.734 -1.501 2.752
Cr -0.831 0.000 2.752
O 0.063 1.533 3.779
O 0.858 0.000 1.696
O 0.063 -1.533 3.779
O 3.405 1.533 1.726
O 2.611 0.000 3.808
O 3.405 -1.533 1.726
```

Largest 12 diffraction maxima, by angle, 2θ from 5° to 70°:
| 2θ/deg | d (Å) | I/Imax |
| --- | --- | --- |
| 16.10 | 5.505 | 100 |
| 32.53 | 2.752 | 14 |
| 34.73 | 2.583 | 13 |
| 36.10 | 2.488 | 14 |
| 36.59 | 2.456 | 7 |
| 40.78 | 2.213 | 63 |
| 41.62 | 2.170 | 28 |
| 52.11 | 1.755 | 11 |
| 52.96 | 1.729 | 5 |
| 56.99 | 1.616 | 24 |
| 61.02 | 1.518 | 8 |
| 62.31 | 1.490 | 16 |